Entry 1:
Starting from a structure optimized by DFT (GGA-PBE), the powder diffraction line list of Pm2Zn5Ag12 was calculated for Cu Kα (λ = 1.5418 Å).
Kinematic intensities with the Lorentz-polarization factor, no thermal factor.

Main lines, in order of falling intensity (15° ≤ 2θ ≤ 90°):
hkl 3 0 3, 2θ = 38.18°, I = 100
hkl 2 2 3, 2θ = 42.91°, I = 33
hkl 0 2 4, 2θ = 33.65°, I = 23
hkl 0 0 6, 2θ = 38.46°, I = 23
hkl 3 0 0, 2θ = 32.86°, I = 23
hkl 3 0 9, 2θ = 69.40°, I = 14
hkl 6 0 0, 2θ = 68.89°, I = 13
hkl 3 3 3, 2θ = 62.23°, I = 12
hkl 6 0 6, 2θ = 81.77°, I = 10
hkl 2 0 5, 2θ = 38.87°, I = 9
hkl 1 1 6, 2θ = 43.14°, I = 8
hkl 2 2 6, 2θ = 55.27°, I = 7

abc: 9.4429 9.4429 14.0424
angles: 90.00 90.00 120.00
Space group R-3m (No. 166, hexagonal axes)
Inequivalent atoms, fractional coordinates:
Pm: 0.0000 0.0000 0.1524
Zn: 0.0000 0.0000 0.4016
Zn: 0.0000 0.5000 0.0000
Ag: 0.0000 0.3027 0.5000
Ag: 0.0086 0.5043 0.3475


Entry 2:
Starting from a structure optimized by DFT (GGA-PBE), the powder diffraction line list of PmZnAg was calculated for Cu Kα (λ = 1.5418 Å).
Kinematic intensities with the Lorentz-polarization factor, no thermal factor.

Main lines, in order of falling intensity (15° ≤ 2θ ≤ 90°):
hkl 1 0 3, 2θ = 36.44°, I = 100
hkl 1 1 0, 2θ = 34.88°, I = 61
hkl 2 1 3, 2θ = 63.56°, I = 38
hkl 2 0 0, 2θ = 50.15°, I = 21
hkl 1 0 1, 2θ = 26.05°, I = 18
hkl 1 1 6, 2θ = 66.57°, I = 13
hkl 3 1 0, 2θ = 84.16°, I = 9
hkl 1 1 4, 2θ = 50.77°, I = 9
hkl 3 0 3, 2θ = 85.07°, I = 8
hkl 2 0 6, 2θ = 77.41°, I = 8
hkl 1 0 7, 2θ = 70.44°, I = 7
hkl 2 2 0, 2θ = 73.65°, I = 7

abc: 3.6378 3.6378 10.0614
angles: 90.00 90.00 90.00
Space group I4mm (No. 107)
Inequivalent atoms, fractional coordinates:
Pm: 0.0000 0.0000 0.0000
Zn: 0.0000 0.0000 0.6809
Ag: 0.0000 0.0000 0.3075